No. 1
The following is a theoretical X-ray diffraction stick pattern of LiAlSiO4. It was derived from DFT lattice parameters and positions (GGA-PBE), using Cu Kα (λ = 1.5418 Å).
Peak positions follow from Bragg's law for the DFT cell and can differ from measured ones.

The 6 most intense peaks (10 to 90 degrees two-theta), sorted by position:
| Position (°2θ) | I (rel.) |
| --- | --- |
| 15.89 | 41 |
| 22.08 | 68 |
| 22.21 | 100 |
| 23.92 | 34 |
| 32.09 | 42 |
| 35.98 | 41 |

Structure:
a b c (Å): 10.072 6.699 4.992
angles (deg): 90.00 90.00 90.00
Space group Pna2_1 (No. 33)
Asymmetric unit:
Li 0.145 0.015 0.000 [4 per cell]
Al 0.172 0.515 0.995 [4 per cell]
Si 0.094 0.280 0.494 [4 per cell]
O 0.066 0.724 0.054 [4 per cell]
O 0.122 0.298 0.170 [4 per cell]
O 0.162 0.070 0.598 [4 per cell]
O 0.170 0.463 0.647 [4 per cell]

---

No. 2
The following is a theoretical X-ray diffraction stick pattern of Lu2CoB6. It was derived from DFT lattice parameters and positions (GGA-PBE), using Cu Kα (λ = 1.5418 Å).
Peak positions follow from Bragg's law for the DFT cell and can differ from measured ones.

The 6 most intense peaks (10 to 90 degrees two-theta), sorted by position:
| Position (°2θ) | I (rel.) |
| --- | --- |
| 25.54 | 100 |
| 30.91 | 83 |
| 31.60 | 30 |
| 40.51 | 98 |
| 41.05 | 37 |
| 42.88 | 33 |

Structure:
a b c (Å): 8.984 11.325 3.489
angles (deg): 90.00 90.00 90.00
Space group Pbam (No. 55)
Asymmetric unit:
Lu 0.056 0.129 0.000 [4 per cell]
Lu 0.176 0.415 0.000 [4 per cell]
Co 0.140 0.679 0.000 [4 per cell]
B 0.015 0.288 0.500 [4 per cell]
B 0.054 0.566 0.500 [4 per cell]
B 0.107 0.971 0.500 [4 per cell]
B 0.134 0.816 0.500 [4 per cell]
B 0.207 0.236 0.500 [4 per cell]
B 0.248 0.581 0.500 [4 per cell]

---

No. 3
The following is a theoretical X-ray diffraction stick pattern of Li2MgGeO4. It was derived from DFT lattice parameters and positions (GGA-PBE), using Cu Kα (λ = 1.5418 Å).
Peak positions follow from Bragg's law for the DFT cell and can differ from measured ones.

The 6 most intense peaks (10 to 90 degrees two-theta), sorted by position:
| Position (°2θ) | I (rel.) |
| --- | --- |
| 21.11 | 100 |
| 21.99 | 94 |
| 23.53 | 28 |
| 32.02 | 52 |
| 34.67 | 42 |
| 57.48 | 31 |

Structure:
a b c (Å): 11.073 5.174 6.475
angles (deg): 90.00 90.00 90.00
Space group Pna2_1 (No. 33)
Asymmetric unit:
Li 0.075 0.194 0.000 [4 per cell]
Li 0.164 0.814 0.248 [4 per cell]
Mg 0.168 0.816 0.743 [4 per cell]
Ge 0.085 0.316 0.496 [4 per cell]
O 0.066 0.795 0.993 [4 per cell]
O 0.090 0.662 0.500 [4 per cell]
O 0.161 0.202 0.720 [4 per cell]
O 0.163 0.207 0.271 [4 per cell]

---

No. 4
The following is a theoretical X-ray diffraction stick pattern of HfTiCN. It was derived from DFT lattice parameters and positions (GGA-PBE), using Cu Kα (λ = 1.5418 Å).
Peak positions follow from Bragg's law for the DFT cell and can differ from measured ones.

The 6 most intense peaks (10 to 90 degrees two-theta), sorted by position:
| Position (°2θ) | I (rel.) |
| --- | --- |
| 17.28 | 71 |
| 33.30 | 47 |
| 34.84 | 99 |
| 34.96 | 33 |
| 40.48 | 100 |
| 69.97 | 41 |

Structure:
a b c (Å): 3.1556 3.1556 15.3972
angles (deg): 90.00 90.00 120.00
Space group R3m (No. 160, hexagonal axes)
Asymmetric unit:
Hf 0.0000 0.0000 0.0000 [3 per cell]
Ti 0.0000 0.0000 0.4981 [3 per cell]
C 0.0000 0.0000 0.7537 [3 per cell]
N 0.0000 0.0000 0.2470 [3 per cell]

---

No. 5
The following is a theoretical X-ray diffraction stick pattern of LiCuPO4. It was derived from DFT lattice parameters and positions (GGA-PBE), using Cu Kα (λ = 1.5418 Å).
Peak positions follow from Bragg's law for the DFT cell and can differ from measured ones.

The 6 most intense peaks (10 to 90 degrees two-theta), sorted by position:
| Position (°2θ) | I (rel.) |
| --- | --- |
| 15.14 | 54 |
| 15.74 | 59 |
| 19.88 | 75 |
| 20.81 | 86 |
| 23.77 | 100 |
| 30.13 | 65 |

Structure:
a b c (Å): 7.494 4.859 17.875
angles (deg): 90.00 92.24 90.00
Space group P2_1/c (No. 14)
Asymmetric unit:
Li 0.002 0.156 0.323 [4 per cell]
Li 0.498 0.730 0.088 [4 per cell]
Cu 0.134 0.249 0.013 [4 per cell]
Cu 0.324 0.725 0.274 [4 per cell]
P 0.248 0.716 0.937 [4 per cell]
P 0.264 0.166 0.181 [4 per cell]
O 0.052 0.585 0.927 [4 per cell]
O 0.123 0.007 0.228 [4 per cell]
O 0.242 0.036 0.931 [4 per cell]
O 0.243 0.021 0.692 [4 per cell]
O 0.256 0.080 0.098 [4 per cell]
O 0.328 0.610 0.011 [4 per cell]
O 0.350 0.595 0.871 [4 per cell]
O 0.447 0.046 0.212 [4 per cell]

---

No. 6
The following is a theoretical X-ray diffraction stick pattern of CeSi3Rh. It was derived from DFT lattice parameters and positions (GGA-PBE), using Cu Kα (λ = 1.5418 Å).
Peak positions follow from Bragg's law for the DFT cell and can differ from measured ones.

The 6 most intense peaks (10 to 90 degrees two-theta), sorted by position:
| Position (°2θ) | I (rel.) |
| --- | --- |
| 22.89 | 42 |
| 29.86 | 59 |
| 34.72 | 100 |
| 35.15 | 57 |
| 42.73 | 51 |
| 56.19 | 50 |

Structure:
a b c (Å): 4.232 4.232 9.788
angles (deg): 90.00 90.00 90.00
Space group I4mm (No. 107)
Asymmetric unit:
Ce 0.000 0.000 0.000 [2 per cell]
Si 0.000 0.000 0.417 [2 per cell]
Si 0.000 0.500 0.268 [4 per cell]
Rh 0.000 0.000 0.659 [2 per cell]